Diffraction record for LaZnH3. The powder X-ray diffraction pattern is calculated, not measured: it uses a DFT-relaxed cell (GGA-PBE, Alexandria) and Cu Kα, 1.54184 Å.
Peak positions follow from Bragg's law for the DFT cell and can differ from measured ones.

Top 12 peaks for 2θ = 15–90°, in order of rising 2θ:
2θ 26.4, I 100; 2θ 29.9, I 67; 2θ 32.0, I 20; 2θ 32.2, I 48; 2θ 35.3, I 68; 2θ 36.5, I 36; 2θ 41.5, I 16; 2θ 46.5, I 18; 2θ 50.5, I 32; 2θ 56.3, I 22; 2θ 57.7, I 18; 2θ 58.6, I 24

a b c (Å): 6.3390 6.3390 6.3390
angles (deg): 116.34 75.28 144.13
Positions (direct):
La1 0.1851 0.0000 0.1851
La2 0.8149 0.0000 0.8149
Zn1 0.4924 0.1821 0.6896
Zn2 0.4924 0.8028 0.3104
H1 0.0037 0.2197 0.2161
H2 0.0037 0.7876 0.7839
H3 0.3248 0.2923 0.6170
H4 0.3248 0.7079 0.0325
H5 0.6754 0.2923 0.9675
H6 0.6754 0.7079 0.3830